# 1
Diffraction record for Y6Ge3O. The powder diffractogram is computed, not measured: it uses a PBE-relaxed structure and Cu Kα, 1.54184 Å.
Lines closer than 0.1° are merged.

Structural model:
```
data_Y6Ge3O
_chemical_formula_sum 'Y24 Ge12 O4'
_symmetry_space_group_name_H-M 'C m c 21'
_symmetry_Int_Tables_number 36
_cell_length_a 11.221
_cell_length_b 13.916
_cell_length_c 6.769
_cell_angle_alpha 90.00
_cell_angle_beta 90.00
_cell_angle_gamma 90.00
loop_
_symmetry_equiv_pos_as_xyz
'x,y,z'
'-x,-y,z+1/2'
'-x,y,z'
'x,-y,z+1/2'
'x+1/2,y+1/2,z'
'-x+1/2,-y+1/2,z+1/2'
'-x+1/2,y+1/2,z'
'x+1/2,-y+1/2,z+1/2'
loop_
_atom_site_label
_atom_site_type_symbol
_atom_site_fract_x
_atom_site_fract_y
_atom_site_fract_z
Y1 Y 0.000 0.050 0.000
Y2 Y 0.000 0.226 0.450
Y3 Y 0.157 0.268 0.965
Y4 Y 0.163 0.472 0.452
Ge1 Ge 0.000 0.389 0.738
Ge2 Ge 0.173 0.108 0.678
O1 O 0.000 0.200 0.125
```

Most intense lines, 2θ = 15–90°, in order of rising 2θ:
2theta  Rel. int.  hkl
24.25  37  2 2 1
24.60  26  3 1 0
26.33  24  0 0 2
28.00  27  3 1 1
28.85  34  0 4 1
33.50  100  3 3 1
36.38  77  3 1 2
37.05  73  0 4 2
40.39  37  3 5 0
48.69  24  6 0 0
53.96  17  3 7 1
62.73  25  6 4 2

---

# 2
Diffraction record for Y3GeO6. The powder diffractogram is computed, not measured: it uses a PBE-relaxed structure and Cu Kα, 1.54184 Å.
Lines closer than 0.1° are merged.

Structural model:
```
data_Y3GeO6
_chemical_formula_sum 'Y12 Ge4 O24'
_symmetry_space_group_name_H-M 'C m c 21'
_symmetry_Int_Tables_number 36
_cell_length_a 8.941
_cell_length_b 11.150
_cell_length_c 5.527
_cell_angle_alpha 90.00
_cell_angle_beta 90.00
_cell_angle_gamma 90.00
loop_
_symmetry_equiv_pos_as_xyz
'x,y,z'
'-x,-y,z+1/2'
'-x,y,z'
'x,-y,z+1/2'
'x+1/2,y+1/2,z'
'-x+1/2,-y+1/2,z+1/2'
'-x+1/2,y+1/2,z'
'x+1/2,-y+1/2,z+1/2'
loop_
_atom_site_label
_atom_site_type_symbol
_atom_site_fract_x
_atom_site_fract_y
_atom_site_fract_z
Y1 Y 0.000 0.101 0.000
Y2 Y 0.194 0.394 0.052
Ge1 Ge 0.000 0.326 0.570
O1 O 0.000 0.273 0.227
O2 O 0.000 0.474 0.797
O3 O 0.152 0.244 0.737
O4 O 0.161 0.015 0.276
```

Most intense lines, 2θ = 15–90°, in order of rising 2θ:
2theta  Rel. int.  hkl
30.30  100  2 2 1
30.66  30  1 3 1
32.11  8  0 4 0
32.40  16  0 0 2
35.14  8  3 1 1
45.49  17  3 1 2
46.26  20  0 4 2
51.16  18  3 5 0
56.49  14  2 2 3
59.78  12  5 3 1
61.87  9  3 5 2
83.06  8  5 7 1

---

# 3
Diffraction record for Y2GeO5. The powder diffractogram is computed, not measured: it uses a PBE-relaxed structure and Cu Kα, 1.54184 Å.
Lines closer than 0.1° are merged.

Structural model:
```
data_Y2GeO5
_chemical_formula_sum 'Y8 Ge4 O20'
_symmetry_space_group_name_H-M 'P n m a'
_symmetry_Int_Tables_number 62
_cell_length_a 10.385
_cell_length_b 3.735
_cell_length_c 11.131
_cell_angle_alpha 90.00
_cell_angle_beta 90.00
_cell_angle_gamma 90.00
loop_
_symmetry_equiv_pos_as_xyz
'x,y,z'
'-x,-y,-z'
'-x+1/2,-y,z+1/2'
'x+1/2,y,-z+1/2'
'x+1/2,-y+1/2,-z+1/2'
'-x+1/2,y+1/2,z+1/2'
'-x,y+1/2,-z'
'x,-y+1/2,z'
loop_
_atom_site_label
_atom_site_type_symbol
_atom_site_fract_x
_atom_site_fract_y
_atom_site_fract_z
Y1 Y 0.107 0.250 0.220
Y2 Y 0.136 0.250 0.555
Ge1 Ge 0.177 0.250 0.877
O1 O 0.009 0.750 0.605
O2 O 0.012 0.250 0.843
O3 O 0.223 0.250 0.035
O4 O 0.233 0.750 0.879
O5 O 0.239 0.750 0.230
```

Most intense lines, 2θ = 15–90°, in order of rising 2θ:
2theta  Rel. int.  hkl
25.49  26  1 0 3
29.46  100  2 1 0
29.59  69  2 0 3
34.06  30  0 1 3
35.17  15  1 1 3
35.48  19  3 0 3
43.18  12  3 1 3
48.77  23  0 2 0
49.30  32  4 1 3
49.94  19  1 0 6
56.06  15  1 1 6
58.08  19  2 2 3

---

# 4
Diffraction record for Y3GeO. The powder diffractogram is computed, not measured: it uses a PBE-relaxed structure and Cu Kα, 1.54184 Å.
Lines closer than 0.1° are merged.

Structural model:
```
data_Y3GeO
_chemical_formula_sum 'Y12 Ge4 O4'
_symmetry_space_group_name_H-M 'C m c 21'
_symmetry_Int_Tables_number 36
_cell_length_a 3.562
_cell_length_b 21.399
_cell_length_c 6.039
_cell_angle_alpha 90.00
_cell_angle_beta 90.00
_cell_angle_gamma 90.00
loop_
_symmetry_equiv_pos_as_xyz
'x,y,z'
'-x,-y,z+1/2'
'-x,y,z'
'x,-y,z+1/2'
'x+1/2,y+1/2,z'
'-x+1/2,-y+1/2,z+1/2'
'-x+1/2,y+1/2,z'
'x+1/2,-y+1/2,z+1/2'
loop_
_atom_site_label
_atom_site_type_symbol
_atom_site_fract_x
_atom_site_fract_y
_atom_site_fract_z
Y1 Y 0.000 0.056 0.000
Y2 Y 0.000 0.204 0.861
Y3 Y 0.000 0.410 0.020
Ge1 Ge 0.000 0.187 0.353
O1 O 0.000 0.378 0.377
```

Most intense lines, 2θ = 15–90°, in order of rising 2θ:
2theta  Rel. int.  hkl
29.41  33  1 1 1
29.59  51  0 0 2
30.77  73  0 2 2
31.75  79  1 3 1
32.71  100  1 5 0
33.50  40  0 8 0
36.02  63  1 5 1
39.09  31  0 6 2
41.19  43  1 3 2
44.68  32  1 5 2
51.30  31  2 0 0
53.87  33  1 3 3

---

# 5
Diffraction record for Zr3GeO. The powder diffractogram is computed, not measured: it uses a PBE-relaxed structure and Cu Kα, 1.54184 Å.
Lines closer than 0.1° are merged.

Structural model:
```
data_Zr3GeO
_chemical_formula_sum 'Zr3 Ge1 O1'
_symmetry_space_group_name_H-M 'P m -3 m'
_symmetry_Int_Tables_number 221
_symmetry_space_group_name_Hall '-P 4 2 3'
_cell_length_a 4.437
_cell_length_b 4.437
_cell_length_c 4.437
_cell_angle_alpha 90.00
_cell_angle_beta 90.00
_cell_angle_gamma 90.00
loop_
_atom_site_label
_atom_site_type_symbol
_atom_site_fract_x
_atom_site_fract_y
_atom_site_fract_z
Zr1 Zr 0.000 0.000 0.500
Ge1 Ge 0.500 0.500 0.500
O1 O 0.000 0.000 0.000
```

Most intense lines, 2θ = 15–90°, in order of rising 2θ:
2theta  Rel. int.  hkl
20.01  4  1 0 0
35.02  100  1 1 1
40.66  59  2 0 0
45.72  1  2 1 0
58.86  38  2 2 0
62.82  1  3 0 0
70.37  38  3 1 1
74.00  13  2 2 2
88.04  6  4 0 0

---

# 6
Diffraction record for Ge3Os2. The powder diffractogram is computed, not measured: it uses a PBE-relaxed structure and Cu Kα, 1.54184 Å.
Lines closer than 0.1° are merged.

Structural model:
```
data_Ge3Os2
_chemical_formula_sum 'Ge24 Os16'
_symmetry_space_group_name_H-M 'P b c n'
_symmetry_Int_Tables_number 60
_cell_length_a 11.614
_cell_length_b 9.335
_cell_length_c 5.816
_cell_angle_alpha 90.00
_cell_angle_beta 90.00
_cell_angle_gamma 90.00
loop_
_symmetry_equiv_pos_as_xyz
'x,y,z'
'-x,-y,-z'
'-x+1/2,-y+1/2,z+1/2'
'x+1/2,y+1/2,-z+1/2'
'x+1/2,-y+1/2,-z'
'-x+1/2,y+1/2,z'
'-x,y,-z+1/2'
'x,-y,z+1/2'
loop_
_atom_site_label
_atom_site_type_symbol
_atom_site_fract_x
_atom_site_fract_y
_atom_site_fract_z
Ge1 Ge 0.073 0.214 0.042
Ge2 Ge 0.132 0.395 0.600
Ge3 Ge 0.178 0.066 0.409
Os1 Os 0.000 0.040 0.750
Os2 Os 0.000 0.425 0.250
Os3 Os 0.246 0.186 0.759
```

Most intense lines, 2θ = 15–90°, in order of rising 2θ:
2theta  Rel. int.  hkl
24.46  60  2 2 0
30.77  33  4 0 0
35.86  14  2 1 2
36.21  15  2 3 1
39.69  100  2 2 2
44.07  34  4 0 2
44.65  57  2 4 1
51.04  38  0 2 3
64.54  21  6 4 1
69.68  13  2 2 4
72.71  11  4 0 4
81.47  14  6 4 3